(1)
Diffraction record for KNiPtBr6. The X-ray powder pattern is computed, not measured: it uses a GGA-PBE-relaxed structure and Cu Kα, 1.54184 Å.

Crystal structure
Lattice parameters (Å, degrees): 6.628 6.628 7.459 90.96 90.96 117.78
Element x y z (fractional)
1 K 0.000 0.000 0.000
2 Ni 0.669 0.331 0.500
3 Pt 0.333 0.667 0.500
4 Br 0.363 0.001 0.683
5 Br 0.367 0.373 0.308
6 Br 0.627 0.633 0.692
7 Br 0.639 0.020 0.291
8 Br 0.980 0.361 0.709
9 Br 0.999 0.637 0.317

Main lines, by angle (2θ = 10–90°):
2θ 11.9, 7.455 Å, rel. 100; 2θ 15.1, 5.862 Å, rel. 23; 2θ 19.0, 4.672 Å, rel. 24; 2θ 19.5, 4.547 Å, rel. 22; 2θ 28.3, 3.150 Å, rel. 27; 2θ 29.7, 3.009 Å, rel. 40; 2θ 35.0, 2.563 Å, rel. 27; 2θ 36.6, 2.457 Å, rel. 50; 2θ 45.3, 2.003 Å, rel. 19; 2θ 46.5, 1.954 Å, rel. 24

(2)
Diffraction record for Ho3TlSe4. The X-ray powder pattern is computed, not measured: it uses a GGA-PBE-relaxed structure and Cu Kα, 1.54184 Å.

Crystal structure
Lattice parameters (Å, degrees): 4.097 4.097 28.952 90.00 90.00 120.00
Element x y z (fractional)
1 Ho 0.000 0.000 0.000
2 Ho 0.000 0.000 0.500
3 Ho 0.333 0.667 0.114
4 Ho 0.333 0.667 0.386
5 Ho 0.667 0.333 0.614
6 Ho 0.667 0.333 0.886
7 Tl 0.333 0.667 0.750
8 Tl 0.667 0.333 0.250
9 Se 0.000 0.000 0.169
10 Se 0.000 0.000 0.331
11 Se 0.000 0.000 0.669
12 Se 0.000 0.000 0.831
13 Se 0.333 0.667 0.557
14 Se 0.333 0.667 0.943
15 Se 0.667 0.333 0.057
16 Se 0.667 0.333 0.443

Main lines, by angle (2θ = 10–90°):
2θ 24.6, 3.619 Å, rel. 16; 2θ 26.8, 3.330 Å, rel. 43; 2θ 29.5, 3.025 Å, rel. 74; 2θ 31.3, 2.859 Å, rel. 100; 2θ 42.8, 2.114 Å, rel. 46; 2θ 44.2, 2.049 Å, rel. 69; 2θ 45.5, 1.995 Å, rel. 16; 2θ 55.2, 1.665 Å, rel. 20; 2θ 73.3, 1.292 Å, rel. 17; 2θ 80.4, 1.195 Å, rel. 15

(3)
Diffraction record for Rb4Pa. The X-ray powder pattern is computed, not measured: it uses a GGA-PBE-relaxed structure and Cu Kα, 1.54184 Å.

Crystal structure
Lattice parameters (Å, degrees): 7.520 7.520 7.520 90.00 90.00 90.00
Element x y z (fractional)
1 Rb 0.000 0.000 0.000
2 Rb 0.000 0.500 0.500
3 Rb 0.500 0.000 0.500
4 Rb 0.500 0.500 0.000
5 Pa 0.500 0.500 0.500

Main lines, by angle (2θ = 10–90°):
2θ 11.8, 7.520 Å, rel. 73; 2θ 16.7, 5.318 Å, rel. 68; 2θ 23.7, 3.760 Å, rel. 100; 2θ 26.5, 3.363 Å, rel. 46; 2θ 29.1, 3.070 Å, rel. 37; 2θ 33.7, 2.659 Å, rel. 81; 2θ 35.8, 2.507 Å, rel. 27; 2θ 41.6, 2.171 Å, rel. 30; 2θ 54.6, 1.682 Å, rel. 41; 2θ 60.3, 1.535 Å, rel. 30

(4)
Diffraction record for CsSbAu3. The X-ray powder pattern is computed, not measured: it uses a GGA-PBE-relaxed structure and Cu Kα, 1.54184 Å.

Crystal structure
Lattice parameters (Å, degrees): 9.752 9.752 6.936 110.66 110.66 74.10
Element x y z (fractional)
1 Cs 0.001 0.999 0.750
2 Cs 0.372 0.628 0.750
3 Cs 0.628 0.372 0.250
4 Cs 0.999 0.001 0.250
5 Sb 0.170 0.601 0.136
6 Sb 0.399 0.830 0.364
7 Sb 0.601 0.170 0.636
8 Sb 0.830 0.399 0.864
9 Au 0.028 0.340 0.230
10 Au 0.028 0.340 0.635
11 Au 0.260 0.296 0.026
12 Au 0.296 0.260 0.526
13 Au 0.340 0.028 0.135
14 Au 0.340 0.028 0.730
15 Au 0.660 0.972 0.270
16 Au 0.660 0.972 0.865
17 Au 0.704 0.740 0.474
18 Au 0.740 0.704 0.974
19 Au 0.972 0.660 0.365
20 Au 0.972 0.660 0.770

Main lines, by angle (2θ = 10–90°):
2θ 12.7, 6.982 Å, rel. 82; 2θ 27.6, 3.234 Å, rel. 21; 2θ 29.8, 2.998 Å, rel. 100; 2θ 32.6, 2.746 Å, rel. 19; 2θ 33.0, 2.712 Å, rel. 19; 2θ 35.2, 2.553 Å, rel. 23; 2θ 39.6, 2.274 Å, rel. 37; 2θ 39.8, 2.267 Å, rel. 28; 2θ 40.2, 2.242 Å, rel. 28; 2θ 42.3, 2.134 Å, rel. 27

(5)
Diffraction record for Tb3Tm2Ir2. The X-ray powder pattern is computed, not measured: it uses a GGA-PBE-relaxed structure and Cu Kα, 1.54184 Å.

Crystal structure
Lattice parameters (Å, degrees): 6.289 6.289 8.725 114.10 114.10 35.74
Element x y z (fractional)
1 Tb 0.000 0.000 0.000
2 Tb 0.118 0.118 0.431
3 Tb 0.882 0.882 0.569
4 Tm 0.331 0.331 0.189
5 Tm 0.669 0.669 0.811
6 Ir 0.320 0.320 0.767
7 Ir 0.680 0.680 0.233

Main lines, by angle (2θ = 10–90°):
2θ 30.8, 2.903 Å, rel. 34; 2θ 31.0, 2.887 Å, rel. 78; 2θ 32.3, 2.773 Å, rel. 100; 2θ 33.4, 2.683 Å, rel. 81; 2θ 34.0, 2.633 Å, rel. 94; 2θ 34.5, 2.598 Å, rel. 99; 2θ 36.0, 2.496 Å, rel. 98; 2θ 39.3, 2.292 Å, rel. 74; 2θ 47.1, 1.929 Å, rel. 64; 2θ 59.0, 1.566 Å, rel. 37

(6)
Diffraction record for Nb6VTc. The X-ray powder pattern is computed, not measured: it uses a GGA-PBE-relaxed structure and Cu Kα, 1.54184 Å.

Crystal structure
Lattice parameters (Å, degrees): 5.766 5.766 5.766 110.60 110.60 110.60
Element x y z (fractional)
1 Nb 0.250 0.250 0.750
2 Nb 0.250 0.750 0.250
3 Nb 0.250 0.750 0.750
4 Nb 0.750 0.250 0.250
5 Nb 0.750 0.250 0.750
6 Nb 0.750 0.750 0.250
7 V 0.000 0.000 0.000
8 Tc 0.500 0.500 0.500

Main lines, by angle (2θ = 10–90°):
2θ 34.8, 2.581 Å, rel. 29; 2θ 38.0, 2.370 Å, rel. 100; 2θ 39.8, 2.267 Å, rel. 30; 2θ 44.3, 2.045 Å, rel. 28; 2θ 52.4, 1.746 Å, rel. 17; 2θ 56.1, 1.638 Å, rel. 11; 2θ 59.7, 1.548 Å, rel. 11; 2θ 68.6, 1.368 Å, rel. 17; 2θ 69.8, 1.348 Å, rel. 11; 2θ 73.4, 1.290 Å, rel. 14